Entry 1:
Structure and computed X-ray diffraction stick pattern of NpCdPt (a crystal structure in Alexandria, relaxed with PBE; a wavelength of 1.5418 Å).

```
data_NpCdPt
_chemical_formula_sum 'Np2 Cd2 Pt2'
_space_group_name_H-M_alt 'P 1 21/m 1'
_space_group_IT_number 11
_cell_length_a 3.7368
_cell_length_b 4.3668
_cell_length_c 7.7702
_cell_angle_alpha 90.00
_cell_angle_beta 103.91
_cell_angle_gamma 90.00
loop_
_space_group_symop_operation_xyz
'x,y,z'
'-x,-y,-z'
'-x,y+1/2,-z'
'x,-y+1/2,z'
loop_
_atom_site_label
_atom_site_type_symbol
_atom_site_fract_x
_atom_site_fract_y
_atom_site_fract_z
Np1 Np 0.0550 0.2500 0.1091
Cd1 Cd 0.2565 0.7500 0.5130
Pt1 Pt 0.3913 0.2500 0.7825
```

Most intense lines, 2θ from 15° to 90°, sorted by position:
hkl 1 0 -2, 2θ 29.8, I = 18; hkl 0 0 3, 2θ 35.7, I = 12; hkl 1 1 1, 2θ 36.3, I = 100; hkl 0 2 0, 2θ 41.4, I = 45; hkl 2 0 -1, 2θ 48.7, I = 14; hkl 1 2 -2, 2θ 51.8, I = 8; hkl 0 2 3, 2θ 55.8, I = 7; hkl 1 0 4, 2θ 60.5, I = 11; hkl 2 2 -1, 2θ 65.8, I = 25; hkl 1 3 1, 2θ 72.1, I = 14; hkl 1 2 4, 2θ 76.0, I = 11; hkl 3 1 0, 2θ 82.8, I = 10

---

Entry 2:
Structure and computed X-ray diffraction stick pattern of PmPPt (a crystal structure in Alexandria, relaxed with PBE; a wavelength of 1.5418 Å).

```
data_PmPPt
_chemical_formula_sum 'Pm1 P1 Pt1'
_space_group_name_H-M_alt 'P 3 m 1'
_space_group_IT_number 156
_cell_length_a 4.1773
_cell_length_b 4.1773
_cell_length_c 4.0152
_cell_angle_alpha 90.00
_cell_angle_beta 90.00
_cell_angle_gamma 120.00
loop_
_space_group_symop_operation_xyz
'x,y,z'
'-y,x-y,z'
'-x+y,-x,z'
'-y,-x,z'
'-x+y,y,z'
'x,x-y,z'
loop_
_atom_site_label
_atom_site_type_symbol
_atom_site_fract_x
_atom_site_fract_y
_atom_site_fract_z
Pm1 Pm 0.0000 0.0000 0.0000
P1 P 0.3333 0.6667 0.5028
Pt1 Pt 0.6667 0.3333 0.4977
```

Most intense lines, 2θ from 15° to 90°, sorted by position:
hkl 1 0 0, 2θ 24.6, I = 25; hkl 1 0 1, 2θ 33.3, I = 100; hkl 1 1 0, 2θ 43.3, I = 38; hkl 0 0 2, 2θ 45.2, I = 11; hkl 2 0 0, 2θ 50.5, I = 4; hkl 0 1 2, 2θ 52.1, I = 7; hkl 0 2 1, 2θ 55.7, I = 23; hkl 1 1 2, 2θ 64.4, I = 24; hkl 2 1 1, 2θ 73.1, I = 21; hkl 1 0 3, 2θ 75.8, I = 10; hkl 3 0 0, 2θ 79.5, I = 7; hkl 1 2 2, 2θ 86.0, I = 3

---

Entry 3:
Structure and computed X-ray diffraction stick pattern of SiPO4 (a crystal structure in Alexandria, relaxed with PBE; a wavelength of 1.5418 Å).

```
data_SiPO4
_chemical_formula_sum 'Si3 P3 O12'
_space_group_name_H-M_alt 'P 31 2 1'
_space_group_IT_number 152
_cell_length_a 4.9726
_cell_length_b 4.9726
_cell_length_c 11.0430
_cell_angle_alpha 90.00
_cell_angle_beta 90.00
_cell_angle_gamma 120.00
loop_
_space_group_symop_operation_xyz
'x,y,z'
'-y,x-y,z+1/3'
'-x+y,-x,z+2/3'
'y,x,-z'
'x-y,-y,-z+2/3'
'-x,-x+y,-z+1/3'
loop_
_atom_site_label
_atom_site_type_symbol
_atom_site_fract_x
_atom_site_fract_y
_atom_site_fract_z
Si1 Si 0.0000 0.4128 0.1667
P1 P 0.0000 0.4553 0.6667
O1 O 0.0944 0.7155 0.7707
O2 O 0.1739 0.6517 0.2785
```

Most intense lines, 2θ from 15° to 90°, sorted by position:
hkl 1 0 0, 2θ 20.6, I = 28; hkl 0 1 1, 2θ 22.2, I = 7; hkl 0 1 2, 2θ 26.2, I = 100; hkl 1 0 4, 2θ 38.7, I = 10; hkl 1 1 2, 2θ 39.8, I = 9; hkl 2 0 0, 2θ 42.0, I = 7; hkl 1 1 4, 2θ 49.3, I = 6; hkl 0 2 4, 2θ 54.0, I = 9; hkl 2 1 2, 2θ 59.2, I = 9; hkl 1 1 6, 2θ 62.8, I = 6; hkl 1 2 4, 2θ 66.7, I = 8; hkl 0 3 2, 2θ 67.4, I = 6

---

Entry 4:
Structure and computed X-ray diffraction stick pattern of K12Rb16In (a crystal structure in Alexandria, relaxed with PBE; a wavelength of 1.5418 Å).

```
data_K12Rb16In
_chemical_formula_sum 'K24 Rb32 In2'
_space_group_name_H-M_alt 'C 1 m 1'
_space_group_IT_number 8
_cell_length_a 16.8001
_cell_length_b 23.0866
_cell_length_c 14.4440
_cell_angle_alpha 90.00
_cell_angle_beta 124.17
_cell_angle_gamma 90.00
loop_
_space_group_symop_operation_xyz
'x,y,z'
'x,-y,z'
'x+1/2,y+1/2,z'
'x+1/2,-y+1/2,z'
loop_
_atom_site_label
_atom_site_type_symbol
_atom_site_fract_x
_atom_site_fract_y
_atom_site_fract_z
K1 K 0.0000 0.0000 0.0000
K2 K 0.0438 0.3113 0.3515
K3 K 0.0844 0.0904 0.7810
K4 K 0.1001 0.4045 0.1324
K5 K 0.1811 0.0000 0.3834
K6 K 0.3421 0.2095 0.9912
K7 K 0.4539 0.0941 0.5305
Rb1 Rb 0.0448 0.2960 0.8406
Rb2 Rb 0.1632 0.1772 0.1668
Rb3 Rb 0.1659 0.5000 0.8838
Rb4 Rb 0.1943 0.1565 0.5808
Rb5 Rb 0.2897 0.3576 0.7507
Rb6 Rb 0.2929 0.5000 0.4848
Rb7 Rb 0.3430 0.0000 0.7944
Rb8 Rb 0.3539 0.0000 0.1665
Rb9 Rb 0.3728 0.2976 0.4796
Rb10 Rb 0.4087 0.3965 0.2301
In1 In 0.0522 0.0000 0.5312
```

Most intense lines, 2θ from 15° to 90°, sorted by position:
hkl 0 4 2, 2θ 21.4, I = 28; hkl 0 0 3, 2θ 22.3, I = 47; hkl 3 3 0, 2θ 22.4, I = 99; hkl 4 0 -3, 2θ 22.6, I = 85; hkl 1 3 -3, 2θ 22.6, I = 26; hkl 3 3 -3, 2θ 22.8, I = 85; hkl 1 5 -2, 2θ 22.9, I = 100; hkl 3 1 1, 2θ 24.5, I = 27; hkl 2 0 -4, 2θ 25.0, I = 31; hkl 3 5 -1, 2θ 25.2, I = 28; hkl 2 2 2, 2θ 25.7, I = 37; hkl 1 5 -5, 2θ 39.6, I = 28

---

Entry 5:
Structure and computed X-ray diffraction stick pattern of Pm3Dy2In2 (a crystal structure in Alexandria, relaxed with PBE; a wavelength of 1.5418 Å).

```
data_Pm3Dy2In2
_chemical_formula_sum 'Pm6 Dy4 In4'
_space_group_name_H-M_alt 'C 1 2/m 1'
_space_group_IT_number 12
_cell_length_a 16.9311
_cell_length_b 3.5168
_cell_length_c 8.0323
_cell_angle_alpha 90.00
_cell_angle_beta 117.80
_cell_angle_gamma 90.00
loop_
_space_group_symop_operation_xyz
'x,y,z'
'-x,-y,-z'
'-x,y,-z'
'x,-y,z'
'x+1/2,y+1/2,z'
'-x+1/2,-y+1/2,-z'
'-x+1/2,y+1/2,-z'
'x+1/2,-y+1/2,z'
loop_
_atom_site_label
_atom_site_type_symbol
_atom_site_fract_x
_atom_site_fract_y
_atom_site_fract_z
Pm1 Pm 0.0000 0.0000 0.0000
Pm2 Pm 0.2103 0.0000 0.1309
Dy1 Dy 0.1301 0.0000 0.4707
In1 In 0.0668 0.5000 0.7338
```

Most intense lines, 2θ from 15° to 90°, sorted by position:
hkl 1 1 -1, 2θ 27.7, I = 33; hkl 3 1 -1, 2θ 30.2, I = 54; hkl 3 1 0, 2θ 31.1, I = 28; hkl 4 0 1, 2θ 31.8, I = 93; hkl 6 0 -2, 2θ 32.9, I = 59; hkl 2 0 -3, 2θ 34.0, I = 55; hkl 1 1 -2, 2θ 34.4, I = 100; hkl 5 1 -1, 2θ 36.9, I = 68; hkl 0 2 0, 2θ 52.0, I = 23; hkl 7 1 -4, 2θ 56.0, I = 36; hkl 10 0 -1, 2θ 56.6, I = 31; hkl 4 2 1, 2θ 62.3, I = 27